Starting from a crystal structure in Alexandria, relaxed with GGA-PBE, the X-ray diffraction stick pattern of Sm5Rh6 was simulated for Cu Kα (weighted mean of Kα1 and Kα2).
Peak positions follow from Bragg's law for the DFT cell and can differ from measured ones.

Structure:
```
data_Sm5Rh6
_space_group_name_H-M_alt 'I m m m'
_space_group_IT_number 71
_space_group_name_Hall '-I 2 2'
_cell_length_a 4.6107
_cell_length_b 7.3337
_cell_length_c 14.2223
_cell_angle_alpha 90.00
_cell_angle_beta 90.00
_cell_angle_gamma 90.00
loop_
_atom_site_label
_atom_site_type_symbol
_atom_site_fract_x
_atom_site_fract_y
_atom_site_fract_z
_atom_site_occupancy
Sm1 Sm 0.0000 0.0000 0.0000 1
Sm2 Sm 0.0000 0.0000 0.3677 1
Sm3 Sm 0.0000 0.5000 0.3192 1
Rh1 Rh 0.0000 0.2384 0.1688 1
Rh2 Rh 0.0000 0.2830 0.5000 1
```

Peak list (10 most intense, 10° ≤ 2θ ≤ 90°, low angle first)
d 3.422, 2θ 26.04, I = 96, hkl 1 1 2; d 2.652, 2θ 33.80, I = 141, hkl 0 1 5; d 2.455, 2θ 36.60, I = 1000, hkl 1 2 3; d 2.370, 2θ 37.96, I = 171, hkl 0 0 6; d 2.305, 2θ 39.07, I = 240, hkl 2 0 0; d 2.067, 2θ 43.81, I = 86, hkl 1 3 2; d 1.833, 2θ 49.73, I = 105, hkl 0 4 0; d 1.653, 2θ 55.61, I = 112, hkl 2 0 6; d 1.435, 2θ 64.99, I = 93, hkl 2 4 0; d 1.358, 2θ 69.18, I = 152, hkl 3 2 3

---

Starting from a crystal structure in Alexandria, relaxed with GGA-PBE, the X-ray diffraction stick pattern of Dy6Er3Th2 was simulated for Cu Kα (weighted mean of Kα1 and Kα2).
Peak positions follow from Bragg's law for the DFT cell and can differ from measured ones.

Structure:
```
data_Dy6Er3Th2
_space_group_name_H-M_alt 'P n n m'
_space_group_IT_number 58
_cell_length_a 5.9168
_cell_length_b 12.4766
_cell_length_c 10.0517
_cell_angle_alpha 90.00
_cell_angle_beta 90.00
_cell_angle_gamma 90.00
loop_
_space_group_symop_operation_xyz
'x,y,z'
'-x,-y,-z'
'-x,-y,z'
'x,y,-z'
'x+1/2,-y+1/2,-z+1/2'
'-x+1/2,y+1/2,z+1/2'
'-x+1/2,y+1/2,-z+1/2'
'x+1/2,-y+1/2,z+1/2'
loop_
_atom_site_label
_atom_site_type_symbol
_atom_site_fract_x
_atom_site_fract_y
_atom_site_fract_z
_atom_site_occupancy
Dy1 Dy 0.1869 0.2014 0.0000 1
Dy2 Dy 0.2134 0.2223 0.3386 1
Er1 Er 0.0000 0.0000 0.1793 1
Er2 Er 0.0000 0.5000 0.5000 1
Th1 Th 0.2412 0.9467 0.5000 1
```

Peak list (10 most intense, 10° ≤ 2θ ≤ 90°, low angle first)
d 3.223, 2θ 27.68, I = 298, hkl 1 3 1; d 3.119, 2θ 28.62, I = 426, hkl 0 4 0; d 2.839, 2θ 31.51, I = 1000, hkl 1 1 3; d 2.763, 2θ 32.40, I = 965, hkl 1 4 0; d 2.673, 2θ 33.52, I = 299, hkl 2 2 0; d 2.641, 2θ 33.94, I = 421, hkl 1 2 3; d 2.609, 2θ 34.37, I = 344, hkl 0 3 3; d 2.419, 2θ 37.16, I = 222, hkl 1 4 2; d 1.896, 2θ 47.99, I = 214, hkl 1 5 3; d 1.700, 2θ 53.92, I = 214, hkl 3 0 3

---

Starting from a crystal structure in Alexandria, relaxed with GGA-PBE, the X-ray diffraction stick pattern of CeSc4Si4 was simulated for Cu Kα (weighted mean of Kα1 and Kα2).
Peak positions follow from Bragg's law for the DFT cell and can differ from measured ones.

Structure:
```
data_CeSc4Si4
_space_group_name_H-M_alt 'P 42/n'
_space_group_IT_number 86
_cell_length_a 8.8547
_cell_length_b 8.8547
_cell_length_c 5.3274
_cell_angle_alpha 90.00
_cell_angle_beta 90.00
_cell_angle_gamma 90.00
loop_
_space_group_symop_operation_xyz
'x,y,z'
'-x,-y,-z'
'-y,x+1/2,z+1/2'
'y,-x+1/2,-z+1/2'
'-x+1/2,-y+1/2,z'
'x+1/2,y+1/2,-z'
'y+1/2,-x,z+1/2'
'-y+1/2,x,-z+1/2'
loop_
_atom_site_label
_atom_site_type_symbol
_atom_site_fract_x
_atom_site_fract_y
_atom_site_fract_z
_atom_site_occupancy
Ce1 Ce 0.2500 0.2500 0.2500 1
Sc1 Sc 0.1137 0.6321 0.1308 1
Si1 Si 0.0640 0.5796 0.6431 1
```

Peak list (10 most intense, 10° ≤ 2θ ≤ 90°, low angle first)
d 4.565, 2θ 19.45, I = 824, hkl 1 0 1; d 3.178, 2θ 28.08, I = 769, hkl 2 1 1; d 3.131, 2θ 28.51, I = 278, hkl 2 2 0; d 2.800, 2θ 31.96, I = 1000, hkl 1 3 0; d 2.551, 2θ 35.18, I = 291, hkl 1 0 2; d 2.230, 2θ 40.44, I = 383, hkl 2 3 1; d 1.992, 2θ 45.54, I = 259, hkl 4 1 1; d 1.978, 2θ 45.87, I = 374, hkl 3 0 2; d 1.930, 2θ 47.09, I = 208, hkl 1 3 2; d 1.681, 2θ 54.61, I = 173, hkl 3 4 1

---

Starting from a crystal structure in Alexandria, relaxed with GGA-PBE, the X-ray diffraction stick pattern of ZrSi2Pt3 was simulated for Cu Kα (weighted mean of Kα1 and Kα2).
Peak positions follow from Bragg's law for the DFT cell and can differ from measured ones.

Structure:
```
data_ZrSi2Pt3
_space_group_name_H-M_alt 'C 1 2/m 1'
_space_group_IT_number 12
_cell_length_a 16.1986
_cell_length_b 3.9091
_cell_length_c 9.7648
_cell_angle_alpha 90.00
_cell_angle_beta 107.84
_cell_angle_gamma 90.00
loop_
_space_group_symop_operation_xyz
'x,y,z'
'-x,-y,-z'
'-x,y,-z'
'x,-y,z'
'x+1/2,y+1/2,z'
'-x+1/2,-y+1/2,-z'
'-x+1/2,y+1/2,-z'
'x+1/2,-y+1/2,z'
loop_
_atom_site_label
_atom_site_type_symbol
_atom_site_fract_x
_atom_site_fract_y
_atom_site_fract_z
_atom_site_occupancy
Zr1 Zr 0.0000 0.0000 0.0000 1
Zr2 Zr 0.1469 0.0000 0.6821 1
Si1 Si 0.0405 0.5000 0.7858 1
Si2 Si 0.1372 0.5000 0.4482 1
Si3 Si 0.1981 0.0000 0.1302 1
Pt1 Pt 0.0000 0.5000 0.5000 1
Pt2 Pt 0.0356 0.0000 0.3261 1
Pt3 Pt 0.1149 0.5000 0.1853 1
Pt4 Pt 0.1784 0.5000 0.9496 1
Pt5 Pt 0.2249 0.0000 0.3851 1
```

Peak list (10 most intense, 10° ≤ 2θ ≤ 90°, low angle first)
d 5.203, 2θ 17.04, I = 239, hkl 2 0 1; d 3.230, 2θ 27.62, I = 243, hkl 4 0 1; d 2.798, 2θ 31.98, I = 480, hkl 3 1 1; d 2.493, 2θ 36.03, I = 1000, hkl 1 1 -3; d 2.396, 2θ 37.53, I = 456, hkl 5 1 -2; d 2.217, 2θ 40.71, I = 181, hkl 5 1 1; d 2.056, 2θ 44.04, I = 201, hkl 2 0 4; d 2.004, 2θ 45.25, I = 180, hkl 6 0 2; d 1.987, 2θ 45.65, I = 209, hkl 7 1 -1; d 1.955, 2θ 46.46, I = 342, hkl 0 2 0

---

Starting from a crystal structure in Alexandria, relaxed with GGA-PBE, the X-ray diffraction stick pattern of ErZnNi3 was simulated for Cu Kα (weighted mean of Kα1 and Kα2).
Peak positions follow from Bragg's law for the DFT cell and can differ from measured ones.

Structure:
```
data_ErZnNi3
_space_group_name_H-M_alt 'P b a m'
_space_group_IT_number 55
_cell_length_a 5.3790
_cell_length_b 7.1266
_cell_length_c 4.3808
_cell_angle_alpha 90.00
_cell_angle_beta 90.00
_cell_angle_gamma 90.00
loop_
_space_group_symop_operation_xyz
'x,y,z'
'-x,-y,-z'
'-x,-y,z'
'x,y,-z'
'x+1/2,-y+1/2,-z'
'-x+1/2,y+1/2,z'
'-x+1/2,y+1/2,-z'
'x+1/2,-y+1/2,z'
loop_
_atom_site_label
_atom_site_type_symbol
_atom_site_fract_x
_atom_site_fract_y
_atom_site_fract_z
_atom_site_occupancy
Er1 Er 0.0000 0.0000 0.0000 1
Zn1 Zn 0.0000 0.5000 0.5000 1
Ni1 Ni 0.0000 0.5000 0.0000 1
Ni2 Ni 0.2484 0.2492 0.5000 1
```

Peak list (10 most intense, 10° ≤ 2θ ≤ 90°, low angle first)
d 3.563, 2θ 24.99, I = 312, hkl 0 2 0; d 3.066, 2θ 29.12, I = 852, hkl 1 1 1; d 2.764, 2θ 32.39, I = 931, hkl 0 2 1; d 2.292, 2θ 39.31, I = 545, hkl 2 0 1; d 2.190, 2θ 41.21, I = 532, hkl 0 0 2; d 2.147, 2θ 42.09, I = 1000, hkl 2 2 0; d 1.947, 2θ 46.66, I = 238, hkl 1 3 1; d 1.782, 2θ 51.28, I = 276, hkl 0 4 0; d 1.533, 2θ 60.38, I = 660, hkl 2 2 2; d 1.382, 2θ 67.80, I = 308, hkl 0 4 2

---

Starting from a crystal structure in Alexandria, relaxed with GGA-PBE, the X-ray diffraction stick pattern of BeAs2Pb2 was simulated for Cu Kα (weighted mean of Kα1 and Kα2).
Peak positions follow from Bragg's law for the DFT cell and can differ from measured ones.

Structure:
```
data_BeAs2Pb2
_space_group_name_H-M_alt 'P 4/m b m'
_space_group_IT_number 127
_space_group_name_Hall '-P 4 2ab'
_cell_length_a 6.2530
_cell_length_b 6.2530
_cell_length_c 6.0823
_cell_angle_alpha 90.00
_cell_angle_beta 90.00
_cell_angle_gamma 90.00
loop_
_atom_site_label
_atom_site_type_symbol
_atom_site_fract_x
_atom_site_fract_y
_atom_site_fract_z
_atom_site_occupancy
Be1 Be 0.0000 0.0000 0.0000 1
As1 As 0.1410 0.3590 0.0000 1
Pb1 Pb 0.1904 0.3096 0.5000 1
```

Peak list (10 most intense, 10° ≤ 2θ ≤ 90°, low angle first)
d 6.082, 2θ 14.56, I = 632, hkl 0 0 1; d 3.127, 2θ 28.55, I = 492, hkl 2 0 0; d 3.041, 2θ 29.37, I = 714, hkl 0 0 2; d 2.796, 2θ 32.01, I = 1000, hkl 2 1 0; d 2.781, 2θ 32.19, I = 523, hkl 2 0 1; d 2.541, 2θ 35.33, I = 219, hkl 2 1 1; d 2.180, 2θ 41.42, I = 372, hkl 2 0 2; d 2.058, 2θ 43.99, I = 842, hkl 2 1 2; d 1.472, 2θ 63.19, I = 234, hkl 4 1 1; d 1.357, 2θ 69.23, I = 290, hkl 4 1 2

---

Starting from a crystal structure in Alexandria, relaxed with GGA-PBE, the X-ray diffraction stick pattern of Y5Er4Sc was simulated for Cu Kα (weighted mean of Kα1 and Kα2).
Peak positions follow from Bragg's law for the DFT cell and can differ from measured ones.

Structure:
```
data_Y5Er4Sc
_space_group_name_H-M_alt 'P 1'
_space_group_IT_number 1
_cell_length_a 6.2158
_cell_length_b 6.6351
_cell_length_c 9.0915
_cell_angle_alpha 72.40
_cell_angle_beta 89.98
_cell_angle_gamma 62.07
loop_
_space_group_symop_operation_xyz
'x,y,z'
loop_
_atom_site_label
_atom_site_type_symbol
_atom_site_fract_x
_atom_site_fract_y
_atom_site_fract_z
_atom_site_occupancy
Y1 Y 0.0000 0.0000 0.0000 1
Y2 Y 0.0663 0.2107 0.2940 1
Y3 Y 0.3976 0.2100 0.8016 1
Y4 Y 0.6687 0.0066 0.4963 1
Y5 Y 0.8019 0.4066 0.5978 1
Er1 Er 0.2056 0.6047 0.3946 1
Er2 Er 0.2679 0.8046 0.6991 1
Er3 Er 0.5974 0.8092 0.1959 1
Er4 Er 0.8631 0.6049 0.9005 1
Sc1 Sc 0.4679 0.4070 0.0979 1
```

Peak list (10 most intense, 10° ≤ 2θ ≤ 90°, low angle first)
d 3.109, 2θ 28.72, I = 242, hkl 2 1 0; d 2.790, 2θ 32.08, I = 239, hkl 0 2 2; d 2.716, 2θ 32.98, I = 1000, hkl 1 0 -3; d 2.076, 2θ 43.59, I = 153, hkl -2 1 2; d 1.795, 2θ 50.88, I = 193, hkl 3 1 2; d 1.596, 2θ 57.76, I = 197, hkl -1 2 5; d 1.509, 2θ 61.43, I = 217, hkl 3 3 4; d 1.498, 2θ 61.96, I = 81, hkl 2 1 5; d 1.497, 2θ 61.99, I = 80, hkl 4 1 -1; d 1.150, 2θ 84.20, I = 101, hkl 4 4 -3

---

Starting from a crystal structure in Alexandria, relaxed with GGA-PBE, the X-ray diffraction stick pattern of Tl2CrCdBr6 was simulated for Cu Kα (weighted mean of Kα1 and Kα2).
Peak positions follow from Bragg's law for the DFT cell and can differ from measured ones.

Structure:
```
data_Tl2CrCdBr6
_space_group_name_H-M_alt 'P 1 21/c 1'
_space_group_IT_number 14
_cell_length_a 7.3489
_cell_length_b 8.0070
_cell_length_c 12.8878
_cell_angle_alpha 90.00
_cell_angle_beta 123.60
_cell_angle_gamma 90.00
loop_
_space_group_symop_operation_xyz
'x,y,z'
'-x,-y,-z'
'-x,y+1/2,-z+1/2'
'x,-y+1/2,z+1/2'
loop_
_atom_site_label
_atom_site_type_symbol
_atom_site_fract_x
_atom_site_fract_y
_atom_site_fract_z
_atom_site_occupancy
Tl1 Tl 0.2196 0.0877 0.2477 1
Cr1 Cr 0.5000 0.0000 0.0000 1
Cd1 Cd 0.0000 0.0000 0.5000 1
Br1 Br 0.1783 0.1778 0.9614 1
Br2 Br 0.2545 0.6855 0.9626 1
Br3 Br 0.3501 0.0017 0.7677 1
```

Peak list (10 most intense, 10° ≤ 2θ ≤ 90°, low angle first)
d 3.840, 2θ 23.16, I = 737, hkl 1 1 1; d 3.783, 2θ 23.51, I = 615, hkl 1 1 -3; d 3.751, 2θ 23.72, I = 490, hkl 0 2 1; d 3.208, 2θ 27.81, I = 700, hkl 0 2 2; d 3.060, 2θ 29.18, I = 464, hkl 2 0 0; d 3.004, 2θ 29.74, I = 758, hkl 2 0 -4; d 2.707, 2θ 33.09, I = 938, hkl 2 2 -2; d 2.684, 2θ 33.39, I = 1000, hkl 0 0 4; d 2.668, 2θ 33.59, I = 637, hkl 0 2 3; d 2.162, 2θ 41.79, I = 474, hkl 3 1 -1

---

Starting from a crystal structure in Alexandria, relaxed with GGA-PBE, the X-ray diffraction stick pattern of ErLuB4Ru2 was simulated for Cu Kα (weighted mean of Kα1 and Kα2).
Peak positions follow from Bragg's law for the DFT cell and can differ from measured ones.

Structure:
```
data_ErLuB4Ru2
_space_group_name_H-M_alt 'P m c 21'
_space_group_IT_number 26
_cell_length_a 5.2761
_cell_length_b 6.3165
_cell_length_c 5.8542
_cell_angle_alpha 90.00
_cell_angle_beta 90.00
_cell_angle_gamma 90.00
loop_
_space_group_symop_operation_xyz
'x,y,z'
'-x,-y,z+1/2'
'-x,y,z'
'x,-y,z+1/2'
loop_
_atom_site_label
_atom_site_type_symbol
_atom_site_fract_x
_atom_site_fract_y
_atom_site_fract_z
_atom_site_occupancy
Er1 Er 0.0000 0.0858 0.0000 1
Lu1 Lu 0.5000 0.4155 0.0227 1
B1 B 0.1666 0.2877 0.6436 1
B2 B 0.3348 0.2151 0.3772 1
Ru1 Ru 0.0000 0.4321 0.3290 1
Ru2 Ru 0.5000 0.0691 0.6938 1
```

Peak list (10 most intense, 10° ≤ 2θ ≤ 90°, low angle first)
d 4.294, 2θ 20.69, I = 164, hkl 0 1 1; d 3.158, 2θ 28.26, I = 227, hkl 0 2 0; d 2.638, 2θ 33.98, I = 554, hkl 2 0 0; d 2.459, 2θ 36.54, I = 869, hkl 1 2 1; d 2.372, 2θ 37.93, I = 1000, hkl 1 1 2; d 2.025, 2θ 44.76, I = 176, hkl 2 2 0; d 1.486, 2θ 62.49, I = 170, hkl 3 2 1; d 1.466, 2θ 63.47, I = 390, hkl 3 1 2; d 1.431, 2θ 65.18, I = 152, hkl 0 3 3; d 1.258, 2θ 75.59, I = 217, hkl 2 3 3

---

Starting from a crystal structure in Alexandria, relaxed with GGA-PBE, the X-ray diffraction stick pattern of Sc2Ga4Ir was simulated for Cu Kα (weighted mean of Kα1 and Kα2).
Peak positions follow from Bragg's law for the DFT cell and can differ from measured ones.

Structure:
```
data_Sc2Ga4Ir
_space_group_name_H-M_alt 'I 4/m m m'
_space_group_IT_number 139
_space_group_name_Hall '-I 4 2'
_cell_length_a 4.6896
_cell_length_b 4.6896
_cell_length_c 13.9562
_cell_angle_alpha 90.00
_cell_angle_beta 90.00
_cell_angle_gamma 90.00
loop_
_atom_site_label
_atom_site_type_symbol
_atom_site_fract_x
_atom_site_fract_y
_atom_site_fract_z
_atom_site_occupancy
Sc1 Sc 0.0000 0.0000 0.1276 1
Ga1 Ga 0.0000 0.0000 0.3190 1
Ga2 Ga 0.0000 0.5000 0.0000 1
Ir1 Ir 0.0000 0.0000 0.5000 1
```

Peak list (10 most intense, 10° ≤ 2θ ≤ 90°, low angle first)
d 6.978, 2θ 12.69, I = 1000, hkl 0 0 2; d 4.445, 2θ 19.97, I = 878, hkl 1 0 1; d 3.316, 2θ 26.89, I = 493, hkl 1 1 0; d 2.399, 2θ 37.49, I = 737, hkl 1 0 5; d 2.345, 2θ 38.39, I = 803, hkl 2 0 0; d 2.326, 2θ 38.71, I = 266, hkl 0 0 6; d 2.074, 2θ 43.64, I = 249, hkl 2 1 1; d 1.677, 2θ 54.75, I = 467, hkl 2 1 5; d 1.658, 2θ 55.42, I = 269, hkl 2 2 0; d 1.651, 2θ 55.66, I = 365, hkl 2 0 6

---

Starting from a crystal structure in Alexandria, relaxed with GGA-PBE, the X-ray diffraction stick pattern of La5IrSe4 was simulated for Cu Kα (weighted mean of Kα1 and Kα2).
Peak positions follow from Bragg's law for the DFT cell and can differ from measured ones.

Structure:
```
data_La5IrSe4
_space_group_name_H-M_alt 'I 4/m m m'
_space_group_IT_number 139
_space_group_name_Hall '-I 4 2'
_cell_length_a 4.3156
_cell_length_b 4.3156
_cell_length_c 30.2606
_cell_angle_alpha 90.00
_cell_angle_beta 90.00
_cell_angle_gamma 90.00
loop_
_atom_site_label
_atom_site_type_symbol
_atom_site_fract_x
_atom_site_fract_y
_atom_site_fract_z
_atom_site_occupancy
La1 La 0.0000 0.0000 0.0000 1
La2 La 0.0000 0.0000 0.2026 1
La3 La 0.0000 0.0000 0.4069 1
Ir1 Ir 0.0000 0.0000 0.5000 1
Se1 Se 0.0000 0.0000 0.1015 1
Se2 Se 0.0000 0.0000 0.3040 1
```

Peak list (10 most intense, 10° ≤ 2θ ≤ 90°, low angle first)
d 3.052, 2θ 29.27, I = 1000, hkl 1 1 0; d 3.026, 2θ 29.52, I = 459, hkl 0 0 10; d 2.158, 2θ 41.86, I = 382, hkl 2 0 0; d 2.149, 2θ 42.05, I = 699, hkl 1 1 10; d 1.757, 2θ 52.06, I = 374, hkl 2 0 10; d 1.526, 2θ 60.69, I = 134, hkl 2 2 0; d 1.365, 2θ 68.79, I = 171, hkl 3 1 0; d 1.362, 2θ 68.92, I = 160, hkl 2 2 10; d 1.356, 2θ 69.32, I = 132, hkl 1 1 20; d 1.244, 2θ 76.59, I = 238, hkl 3 1 10

---

Starting from a crystal structure in Alexandria, relaxed with GGA-PBE, the X-ray diffraction stick pattern of Mg2TaIn was simulated for Cu Kα (weighted mean of Kα1 and Kα2).
Peak positions follow from Bragg's law for the DFT cell and can differ from measured ones.

Structure:
```
data_Mg2TaIn
_space_group_name_H-M_alt 'I m m m'
_space_group_IT_number 71
_space_group_name_Hall '-I 2 2'
_cell_length_a 3.1163
_cell_length_b 5.0571
_cell_length_c 10.3701
_cell_angle_alpha 90.00
_cell_angle_beta 90.00
_cell_angle_gamma 90.00
loop_
_atom_site_label
_atom_site_type_symbol
_atom_site_fract_x
_atom_site_fract_y
_atom_site_fract_z
_atom_site_occupancy
Mg1 Mg 0.0000 0.0000 0.2453 1
Ta1 Ta 0.0000 0.5000 0.5000 1
In1 In 0.0000 0.5000 0.0000 1
```

Peak list (10 most intense, 10° ≤ 2θ ≤ 90°, low angle first)
d 5.185, 2θ 17.10, I = 890, hkl 0 0 2; d 2.653, 2θ 33.79, I = 342, hkl 1 1 0; d 2.593, 2θ 34.60, I = 325, hkl 0 0 4; d 2.529, 2θ 35.50, I = 304, hkl 0 2 0; d 2.362, 2θ 38.10, I = 1000, hkl 1 1 2; d 2.273, 2θ 39.66, I = 222, hkl 0 2 2; d 1.854, 2θ 49.14, I = 241, hkl 1 1 4; d 1.810, 2θ 50.41, I = 222, hkl 0 2 4; d 1.448, 2θ 64.33, I = 210, hkl 1 1 6; d 1.426, 2θ 65.46, I = 257, hkl 1 3 2

---

Starting from a crystal structure in Alexandria, relaxed with GGA-PBE, the X-ray diffraction stick pattern of PmPu2Si2 was simulated for Cu Kα (weighted mean of Kα1 and Kα2).
Peak positions follow from Bragg's law for the DFT cell and can differ from measured ones.

Structure:
```
data_PmPu2Si2
_space_group_name_H-M_alt 'P 1 21/m 1'
_space_group_IT_number 11
_cell_length_a 5.4446
_cell_length_b 3.5631
_cell_length_c 11.8449
_cell_angle_alpha 90.00
_cell_angle_beta 103.17
_cell_angle_gamma 90.00
loop_
_space_group_symop_operation_xyz
'x,y,z'
'-x,-y,-z'
'-x,y+1/2,-z'
'x,-y+1/2,z'
loop_
_atom_site_label
_atom_site_type_symbol
_atom_site_fract_x
_atom_site_fract_y
_atom_site_fract_z
_atom_site_occupancy
Pm1 Pm 0.2445 0.2500 0.2398 1
Pu1 Pu 0.1018 0.2500 0.5546 1
Pu2 Pu 0.3603 0.7500 0.9908 1
Si1 Si 0.2822 0.2500 0.7957 1
Si2 Si 0.3883 0.7500 0.4459 1
```

Peak list (10 most intense, 10° ≤ 2θ ≤ 90°, low angle first)
d 5.767, 2θ 15.37, I = 866, hkl 0 0 2; d 5.297, 2θ 16.74, I = 577, hkl 1 0 -1; d 4.448, 2θ 19.96, I = 987, hkl 1 0 1; d 3.516, 2θ 25.33, I = 977, hkl 1 0 -3; d 2.883, 2θ 31.02, I = 455, hkl 0 0 4; d 2.780, 2θ 32.20, I = 1000, hkl 1 1 -2; d 2.613, 2θ 34.31, I = 357, hkl 0 1 3; d 2.212, 2θ 40.79, I = 540, hkl 1 1 3; d 2.126, 2θ 42.52, I = 792, hkl 2 1 0; d 1.886, 2θ 48.25, I = 367, hkl 2 1 2